[1]
The following is a theoretical powder XRD pattern of KAcGe4. It was derived from DFT lattice parameters and positions (PBE), using copper Kα.
Neutral-atom scattering factors, no anomalous dispersion.

Top 12 peaks for 5° ≤ 2θ ≤ 70°, in order of rising 2θ:
2theta  I/Imax
10.00  93
27.88  66
30.47  100
35.28  29
37.28  49
38.85  25
43.15  19
45.43  13
52.15  23
54.93  32
59.44  14
60.17  13

Structure:
a b c (Å): 4.193 4.636 8.847
angles (deg): 90.00 90.00 90.00
Positions (direct):
K1 0.000 0.000 0.000
Ac1 0.500 0.000 0.500
Ge1 0.000 0.500 0.357
Ge2 0.000 0.500 0.643
Ge3 0.500 0.500 0.196
Ge4 0.500 0.500 0.804

[2]
The following is a theoretical powder XRD pattern of Ac5La5Ge6. It was derived from DFT lattice parameters and positions (PBE), using copper Kα.
Neutral-atom scattering factors, no anomalous dispersion.

Top 12 peaks for 5° ≤ 2θ ≤ 70°, in order of rising 2θ:
2theta  I/Imax
22.28  19
23.06  40
25.35  28
27.73  37
29.55  29
32.02  98
32.24  100
32.33  46
33.61  33
49.23  46
51.61  19
52.66  29

Structure:
a b c (Å): 7.028 9.212 9.212
angles (deg): 119.73 90.00 90.00
Positions (direct):
Ac1 0.000 0.000 0.000
Ac2 0.000 0.251 0.501
Ac3 0.000 0.501 0.251
Ac4 0.500 0.001 0.251
Ac5 0.500 0.251 0.001
La1 0.252 0.585 0.916
La2 0.252 0.916 0.585
La3 0.500 0.504 0.504
La4 0.748 0.585 0.916
La5 0.748 0.916 0.585
Ge1 0.000 0.251 0.853
Ge2 0.000 0.648 0.648
Ge3 0.000 0.853 0.251
Ge4 0.500 0.257 0.646
Ge5 0.500 0.646 0.257
Ge6 0.500 0.849 0.849

[3]
The following is a theoretical powder XRD pattern of Ac5La2Ge4. It was derived from DFT lattice parameters and positions (PBE), using copper Kα.
Neutral-atom scattering factors, no anomalous dispersion.

Top 12 peaks for 5° ≤ 2θ ≤ 70°, in order of rising 2θ:
2theta  I/Imax
24.76  51
25.21  82
26.74  42
26.88  100
27.54  37
29.97  57
30.10  33
30.45  52
31.64  79
32.97  65
45.06  48
53.26  35

Structure:
a b c (Å): 11.332 11.332 8.942
angles (deg): 95.01 95.01 20.45
Positions (direct):
Ac1 0.000 0.000 0.000
Ac2 0.337 0.337 0.033
Ac3 0.402 0.402 0.573
Ac4 0.598 0.598 0.427
Ac5 0.663 0.663 0.967
La1 0.236 0.236 0.664
La2 0.764 0.764 0.336
Ge1 0.104 0.104 0.713
Ge2 0.468 0.468 0.265
Ge3 0.532 0.532 0.735
Ge4 0.896 0.896 0.287